Structure and simulated XRD peak list of TbDy2Tl3Te6 (the GGA-PBE geometry in Alexandria; Cu Ka).
Peak positions follow from Bragg's law for the DFT cell and can differ from measured ones.

Crystal structure
```
data_TbDy2Tl3Te6
_symmetry_space_group_name_H-M 'C 1 2/m 1'
_symmetry_Int_Tables_number 12
_cell_length_a 7.7170
_cell_length_b 13.3654
_cell_length_c 8.5826
_cell_angle_alpha 90.00
_cell_angle_beta 107.45
_cell_angle_gamma 90.00
loop_
_symmetry_equiv_pos_as_xyz
'x,y,z'
'-x,-y,-z'
'-x,y,-z'
'x,-y,z'
'x+1/2,y+1/2,z'
'-x+1/2,-y+1/2,-z'
'-x+1/2,y+1/2,-z'
'x+1/2,-y+1/2,z'
loop_
_atom_site_label
_atom_site_type_symbol
_atom_site_fract_x
_atom_site_fract_y
_atom_site_fract_z
Tb1 Tb 0.0000 0.0000 0.0000
Dy1 Dy 0.0000 0.3333 0.0000
Tl1 Tl 0.0000 0.1664 0.5000
Tl2 Tl 0.0000 0.5000 0.5000
Te1 Te 0.2368 0.5000 0.2133
Te2 Te 0.2384 0.1672 0.2136
```

The 10 most intense peaks (2θ = 10–80°), by angle:
two_theta	d [Å]	Rel. int.
27.3	3.267	100
37.4	2.403	39
40.5	2.228	36
44.2	2.047	7
49.5	1.841	20
56.3	1.634	12
61.5	1.507	15
65.8	1.419	17
71.6	1.317	12
73.7	1.286	6


Structure and simulated XRD peak list of BaMgZn2Ag (the GGA-PBE geometry in Alexandria; Cu Ka).
Peak positions follow from Bragg's law for the DFT cell and can differ from measured ones.

Crystal structure
```
data_BaMgZn2Ag
_symmetry_space_group_name_H-M 'I m m 2'
_symmetry_Int_Tables_number 44
_cell_length_a 4.4646
_cell_length_b 4.5417
_cell_length_c 12.2817
_cell_angle_alpha 90.00
_cell_angle_beta 90.00
_cell_angle_gamma 90.00
loop_
_symmetry_equiv_pos_as_xyz
'x,y,z'
'-x,-y,z'
'-x,y,z'
'x,-y,z'
'x+1/2,y+1/2,z+1/2'
'-x+1/2,-y+1/2,z+1/2'
'-x+1/2,y+1/2,z+1/2'
'x+1/2,-y+1/2,z+1/2'
loop_
_atom_site_label
_atom_site_type_symbol
_atom_site_fract_x
_atom_site_fract_y
_atom_site_fract_z
Ba1 Ba 0.0000 0.0000 0.0000
Mg1 Mg 0.0000 0.5000 0.7475
Zn1 Zn 0.0000 0.0000 0.6157
Zn2 Zn 0.0000 0.5000 0.2443
Ag1 Ag 0.0000 0.0000 0.3841
```

The 10 most intense peaks (2θ = 10–80°), by angle:
two_theta	d [Å]	Rel. int.
28.0	3.184	51
29.4	3.041	62
29.6	3.017	49
31.7	2.827	100
39.7	2.271	35
40.4	2.232	34
41.8	2.161	30
42.0	2.152	33
50.7	1.799	26
59.1	1.562	23